Calculated XRD peak list of K2MgH4I4O14 for copper Kα, from a DFT-relaxed cell (GGA-PBE, Alexandria).

Cell and atoms:
Cell: 13.922 7.950 8.304 Å, 90.00 125.87 90.00°
Space group C2 (No. 5)
One atom of each set of equivalent atoms:
K 0.000 0.000 0.000 (multiplicity 2)
K 0.000 0.477 0.000 (multiplicity 2)
Mg 0.000 0.929 0.500 (multiplicity 2)
H 0.047 0.601 0.625 (multiplicity 4)
H 0.049 0.256 0.475 (multiplicity 4)
I 0.222 0.758 0.480 (multiplicity 4)
I 0.237 0.747 0.981 (multiplicity 4)
O 0.000 0.185 0.500 (multiplicity 2)
O 0.000 0.669 0.500 (multiplicity 2)
O 0.122 0.904 0.822 (multiplicity 4)
O 0.135 0.357 0.424 (multiplicity 4)
O 0.141 0.947 0.467 (multiplicity 4)
O 0.144 0.557 0.868 (multiplicity 4)
O 0.157 0.741 0.214 (multiplicity 4)
O 0.181 0.236 0.129 (multiplicity 4)

Most intense lines, 2θ from 15° to 90°, in order of rising 2θ:
2theta	I_rel	index
15.71	83	2 0 0
21.40	46	2 0 -2
22.37	48	0 2 0
26.49	64	0 0 2
26.83	57	4 0 -2
27.45	100	2 2 0
31.15	49	2 2 -2
34.94	21	0 2 2
44.85	24	2 2 2
45.27	23	6 2 -2